Record 1
Starting from the PBE geometry in Alexandria, the PXRD pattern of Nd6SnBr8 was computed for Cu Kα.
Lines closer than 0.1° are merged.

Cell: 7.2749 7.2749 33.2639 Å, 90.00 90.00 120.00°
Space group R-3 (No. 148, hexagonal axes)
One atom of each set of equivalent atoms:
Nd: 0.0003 0.3434 0.4467 x18
Sn: 0.0000 0.0000 0.5000 x3
Br: 0.0000 0.0000 0.1666 x6
Br: 0.0002 0.3227 0.6091 x18

Largest 10 diffraction maxima, in order of falling intensity, 2θ from 10° to 90°:
(1 1 6), 29.37°, I = 100.0; (2 -1 12), 40.93°, I = 38.7; (3 0 0), 43.07°, I = 32.5; (4 -2 6), 52.99°, I = 18.5; (3 0 18), 67.52°, I = 16.2; (4 1 6), 70.58°, I = 15.3; (2 2 12), 60.92°, I = 11.6; (5 -1 12), 77.50°, I = 11.4; (1 1 9), 34.60°, I = 11.0; (1 1 3), 25.78°, I = 9.0

***

Record 2
Starting from the PBE geometry in Alexandria, the PXRD pattern of ZrBe3Ni10 was computed for Cu Kα.
Lines closer than 0.1° are merged.

Cell: 10.800 10.800 10.800 Å, 90.00 90.00 90.00°
Space group Fm-3m (No. 225)
One atom of each set of equivalent atoms:
Zr: 0.250 0.250 0.250 x8
Be: 0.000 0.000 0.229 x24
Ni: 0.000 0.171 0.329 x48
Ni: 0.117 0.117 0.117 x32

Largest 10 diffraction maxima, in order of falling intensity, 2θ from 10° to 90°:
(3 3 3), 43.54°, I = 100.0; (4 2 0), 37.23°, I = 58.8; (5 3 1), 49.96°, I = 46.2; (4 2 2), 40.94°, I = 33.2; (6 6 0), 74.55°, I = 27.0; (4 4 0), 47.63°, I = 24.4; (8 4 4), 88.75°, I = 18.0; (6 2 2), 56.52°, I = 16.8; (6 4 4), 72.12°, I = 15.9; (2 0 0), 16.41°, I = 13.3

***

Record 3
Starting from the PBE geometry in Alexandria, the PXRD pattern of HfAuC was computed for Cu Kα.
Lines closer than 0.1° are merged.

Cell: 3.7945 3.7945 24.8638 Å, 90.00 90.00 120.00°
Space group R-3m (No. 166, hexagonal axes)
One atom of each set of equivalent atoms:
Hf: 0.0000 0.0000 0.1202 x6
Au: 0.0000 0.0000 0.2971 x6
C: 0.0000 0.0000 0.2080 x6

Largest 10 diffraction maxima, in order of falling intensity, 2θ from 10° to 90°:
(0 1 5), 32.66°, I = 100.0; (1 1 0), 47.95°, I = 47.3; (1 0 7), 37.28°, I = 44.0; (0 1 2), 28.09°, I = 36.6; (1 1 12), 66.86°, I = 30.2; (1 0 10), 45.76°, I = 24.1; (2 0 5), 59.23°, I = 18.9; (0 0 12), 43.69°, I = 17.8; (1 2 5), 79.55°, I = 16.7; (0 1 17), 70.47°, I = 12.7

***

Record 4
Starting from the PBE geometry in Alexandria, the PXRD pattern of Zr2TlHg was computed for Cu Kα.
Lines closer than 0.1° are merged.

Cell: 6.417 8.682 3.185 Å, 90.00 90.00 90.00°
Space group Cmmm (No. 65)
One atom of each set of equivalent atoms:
Zr: 0.250 0.250 0.000 x4
Tl: 0.000 0.000 0.500 x2
Hg: 0.000 0.500 0.500 x2

Largest 10 diffraction maxima, in order of falling intensity, 2θ from 10° to 90°:
(2 2 0), 34.77°, I = 100.0; (0 2 1), 34.94°, I = 98.7; (2 0 1), 39.88°, I = 68.7; (2 4 1), 59.00°, I = 43.7; (0 4 0), 41.61°, I = 30.5; (4 2 1), 69.03°, I = 27.3; (2 2 2), 69.35°, I = 26.9; (0 2 0), 20.46°, I = 23.1; (2 2 1), 45.23°, I = 13.3; (2 6 0), 71.53°, I = 12.3